The following is a simulated powder X-ray diffraction pattern of TbH3C3O6. It was derived from the PBE geometry in the Materials Project, using Cu Ka.
Lines closer than 0.1° are merged.

Main lines, by intensity (15° ≤ 2θ ≤ 90°):
- 16.92°, 5.242 Å, intensity 100
- 34.50°, 2.600 Å, intensity 39
- 34.21°, 2.621 Å, intensity 32
- 29.84°, 2.994 Å, intensity 31
- 24.40°, 3.648 Å, intensity 31
- 42.47°, 2.128 Å, intensity 26
- 49.38°, 1.846 Å, intensity 19
- 46.69°, 1.945 Å, intensity 15
- 45.80°, 1.981 Å, intensity 13
- 29.52°, 3.026 Å, intensity 12

Cell and atoms:
Cell: 6.196 6.196 6.196 Å, 115.54 115.54 115.54°
Element x y z (fractional)
Tb 0.000 0.000 0.000
H 0.360 0.360 0.846
H 0.360 0.846 0.360
H 0.846 0.360 0.360
C 0.147 0.607 0.607
C 0.607 0.147 0.607
C 0.607 0.607 0.147
O 0.283 0.886 0.886
O 0.337 0.587 0.587
O 0.587 0.337 0.587
O 0.587 0.587 0.337
O 0.886 0.283 0.886
O 0.886 0.886 0.283